1.
Er3Ga8Pd3: computed powder diffraction line list (Cu Kα (weighted mean of Kα1 and Kα2)), based on a cell relaxed with PBE.

Cell lengths 8.134, 8.134, 8.134 Å; angles 149.84, 105.97, 81.96 degrees
Positions (direct):
Er 0.000 0.000 0.000
Er 0.317 0.317 0.000
Er 0.683 0.683 0.000
Ga 0.036 0.665 0.372
Ga 0.151 0.870 0.281
Ga 0.293 0.665 0.628
Ga 0.411 0.130 0.281
Ga 0.589 0.870 0.719
Ga 0.707 0.335 0.372
Ga 0.849 0.130 0.719
Ga 0.964 0.335 0.628
Pd 0.289 0.500 0.789
Pd 0.500 0.000 0.500
Pd 0.711 0.500 0.211

Top 12 peaks for 2θ from 10° to 90°, by angle:
2θ (°)	Rel. int.
30.4	15
34.7	22
35.2	20
35.6	100
36.7	10
37.8	17
42.7	31
44.2	17
56.5	10
63.2	12
65.4	15
73.6	12

---

2.
Er3Ga8Pd3: computed powder diffraction line list (Cu Kα (weighted mean of Kα1 and Kα2)), based on a cell relaxed with PBE.

Cell lengths 8.080, 8.080, 9.514 Å; angles 125.02, 125.02, 30.79 degrees
Positions (direct):
Er 0.000 0.000 0.000
Er 0.293 0.293 0.292
Er 0.707 0.707 0.708
Ga 0.143 0.143 0.430
Ga 0.148 0.148 0.865
Ga 0.347 0.347 0.720
Ga 0.498 0.498 0.323
Ga 0.502 0.502 0.677
Ga 0.653 0.653 0.280
Ga 0.852 0.852 0.135
Ga 0.857 0.857 0.570
Pd 0.000 0.000 0.500
Pd 0.352 0.352 0.989
Pd 0.648 0.648 0.011

Top 12 peaks for 2θ from 10° to 90°, by angle:
2θ (°)	Rel. int.
29.9	23
34.0	15
34.6	16
35.2	100
35.7	53
36.6	20
36.9	24
37.9	23
42.1	47
43.4	19
44.0	15
68.6	15

---

3.
PmErGa2Pd5: computed powder diffraction line list (Cu Kα (weighted mean of Kα1 and Kα2)), based on a cell relaxed with PBE.

Cell lengths 4.228, 4.228, 9.278 Å; angles 90.00, 90.00, 90.00 degrees
Positions (direct):
Pm 0.000 0.000 0.000
Er 0.000 0.000 0.500
Ga 0.500 0.500 0.368
Ga 0.500 0.500 0.632
Pd 0.000 0.500 0.228
Pd 0.000 0.500 0.772
Pd 0.500 0.000 0.228
Pd 0.500 0.000 0.772
Pd 0.500 0.500 0.000

Top 12 peaks for 2θ from 10° to 90°, by angle:
2θ (°)	Rel. int.
28.6	12
35.7	100
36.0	9
38.8	12
42.0	14
42.8	45
44.6	10
59.1	14
62.1	15
68.3	12
73.7	24
75.7	7